# Ca2Tl3Pb4
Simulated powder diffraction line list, Cu Kα (λ = 1.5418 Å). Input: a cell relaxed with GGA-PBE.
Lines closer than 0.1° are merged.

The 10 most intense peaks (15° ≤ 2θ ≤ 90°), by angle:
two_theta  intensity
31.14  100
31.57  100
35.55  36
35.76  36
37.74  31
52.82  24
52.97  23
60.86  15
61.13  14
61.63  15

Atomic structure:
Unit cell a=6.150 b=6.150 c=10.572 alpha=106.36 beta=106.36 gamma=45.60
Sites, in units of the cell vectors:
Ca 0.157 0.157 0.221
Ca 0.843 0.843 0.779
Tl 0.166 0.166 0.556
Tl 0.500 0.500 0.000
Tl 0.834 0.834 0.444
Pb 0.172 0.172 0.886
Pb 0.488 0.488 0.331
Pb 0.512 0.512 0.669
Pb 0.828 0.828 0.114



# Ca5Tl2Pb
Simulated powder diffraction line list, Cu Kα (λ = 1.5418 Å). Input: a cell relaxed with GGA-PBE.
Lines closer than 0.1° are merged.

The 10 most intense peaks (15° ≤ 2θ ≤ 90°), by angle:
two_theta  intensity
19.13  91
24.22  38
24.30  38
29.84  100
32.27  28
33.51  57
38.78  31
41.76  32
44.60  28
67.66  21

Atomic structure:
Unit cell a=9.480 b=9.480 c=9.480 alpha=127.03 beta=127.03 gamma=78.21
Sites, in units of the cell vectors:
Ca 0.000 0.000 0.000
Ca 0.024 0.524 0.839
Ca 0.185 0.024 0.500
Ca 0.315 0.815 0.839
Ca 0.476 0.315 0.500
Ca 0.500 0.500 0.000
Ca 0.524 0.685 0.500
Ca 0.685 0.185 0.161
Ca 0.815 0.976 0.500
Ca 0.976 0.476 0.161
Tl 0.128 0.372 0.500
Tl 0.372 0.872 0.244
Tl 0.628 0.128 0.756
Tl 0.872 0.628 0.500
Pb 0.250 0.250 0.000
Pb 0.750 0.750 0.000



# Ca2TlPb4
Simulated powder diffraction line list, Cu Kα (λ = 1.5418 Å). Input: a cell relaxed with GGA-PBE.
Lines closer than 0.1° are merged.

The 10 most intense peaks (15° ≤ 2θ ≤ 90°), by angle:
two_theta  intensity
16.96  63
27.49  51
31.22  100
32.48  35
34.33  39
38.20  23
42.07  67
44.53  29
52.30  22
66.20  22

Atomic structure:
Unit cell a=8.331 b=8.331 c=6.852 alpha=90.00 beta=90.00 gamma=77.67
Sites, in units of the cell vectors:
Ca 0.149 0.149 0.000
Ca 0.351 0.351 0.500
Ca 0.649 0.649 0.500
Ca 0.851 0.851 0.000
Tl 0.000 0.000 0.500
Tl 0.500 0.500 0.000
Pb 0.000 0.500 0.250
Pb 0.000 0.500 0.750
Pb 0.249 0.751 0.751
Pb 0.251 0.749 0.251
Pb 0.500 0.000 0.250
Pb 0.500 0.000 0.750
Pb 0.749 0.251 0.749
Pb 0.751 0.249 0.249



# CaTl8Pb5
Simulated powder diffraction line list, Cu Kα (λ = 1.5418 Å). Input: a cell relaxed with GGA-PBE.
Lines closer than 0.1° are merged.

The 10 most intense peaks (15° ≤ 2θ ≤ 90°), by angle:
two_theta  intensity
28.24  70
29.72  64
29.90  85
32.16  24
34.14  100
34.92  40
35.39  59
47.24  18
55.84  21
63.67  31

Atomic structure:
Unit cell a=8.363 b=8.363 c=8.363 alpha=111.19 beta=111.19 gamma=106.08
Sites, in units of the cell vectors:
Ca 0.000 0.000 0.000
Tl 0.161 0.433 0.082
Tl 0.351 0.079 0.918
Tl 0.427 0.159 0.401
Tl 0.567 0.649 0.728
Tl 0.757 0.025 0.599
Tl 0.841 0.243 0.268
Tl 0.921 0.839 0.272
Tl 0.975 0.573 0.732
Pb 0.213 0.308 0.677
Pb 0.250 0.750 0.500
Pb 0.463 0.787 0.095
Pb 0.631 0.537 0.323
Pb 0.692 0.369 0.905



# CaTl2Pb3
Simulated powder diffraction line list, Cu Kα (λ = 1.5418 Å). Input: a cell relaxed with GGA-PBE.
Lines closer than 0.1° are merged.

The 10 most intense peaks (15° ≤ 2θ ≤ 90°), by angle:
two_theta  intensity
30.79  50
31.52  95
32.09  100
33.76  40
43.77  21
45.50  14
48.19  17
54.41  21
56.80  19
62.48  14

Atomic structure:
Unit cell a=6.461 b=6.461 c=9.273 alpha=96.95 beta=96.95 gamma=99.82
Sites, in units of the cell vectors:
Ca 0.108 0.892 0.750
Ca 0.892 0.108 0.250
Tl 0.118 0.633 0.376
Tl 0.367 0.882 0.124
Tl 0.633 0.118 0.876
Tl 0.882 0.367 0.624
Pb 0.155 0.335 0.984
Pb 0.335 0.155 0.484
Pb 0.451 0.549 0.750
Pb 0.549 0.451 0.250
Pb 0.665 0.845 0.516
Pb 0.845 0.665 0.016



# CaTl5Pb
Simulated powder diffraction line list, Cu Kα (λ = 1.5418 Å). Input: a cell relaxed with GGA-PBE.
Lines closer than 0.1° are merged.

The 10 most intense peaks (15° ≤ 2θ ≤ 90°), by angle:
two_theta  intensity
16.40  48
19.67  50
22.86  100
28.86  72
29.74  67
30.58  48
33.31  46
41.92  53
43.19  38
44.64  41

Atomic structure:
Unit cell a=6.007 b=9.025 c=12.376 alpha=90.00 beta=90.00 gamma=90.00
Sites, in units of the cell vectors:
Ca 0.000 0.000 0.000
Ca 0.500 0.500 0.500
Tl 0.000 0.000 0.254
Tl 0.000 0.000 0.746
Tl 0.000 0.334 0.500
Tl 0.000 0.500 0.000
Tl 0.000 0.666 0.500
Tl 0.500 0.000 0.500
Tl 0.500 0.166 0.000
Tl 0.500 0.500 0.246
Tl 0.500 0.500 0.754
Tl 0.500 0.834 0.000
Pb 0.000 0.000 0.500
Pb 0.500 0.500 0.000



# CaTlPb2
Simulated powder diffraction line list, Cu Kα (λ = 1.5418 Å). Input: a cell relaxed with GGA-PBE.
Lines closer than 0.1° are merged.

The 10 most intense peaks (15° ≤ 2θ ≤ 90°), by angle:
two_theta  intensity
20.30  16
31.45  100
35.09  19
37.15  32
52.02  25
53.55  11
60.68  16
63.43  28
65.64  12
85.19  13

Atomic structure:
Unit cell a=4.840 b=4.840 c=10.230 alpha=90.00 beta=90.00 gamma=90.00
Sites, in units of the cell vectors:
Ca 0.000 0.000 0.000
Ca 0.500 0.500 0.500
Tl 0.000 0.000 0.500
Tl 0.500 0.500 0.000
Pb 0.000 0.500 0.250
Pb 0.000 0.500 0.750
Pb 0.500 0.000 0.250
Pb 0.500 0.000 0.750



# Ca4TmPb15
Simulated powder diffraction line list, Cu Kα (λ = 1.5418 Å). Input: a cell relaxed with GGA-PBE.
Lines closer than 0.1° are merged.

The 10 most intense peaks (15° ≤ 2θ ≤ 90°), by angle:
two_theta  intensity
25.59  10
31.47  100
36.30  17
36.59  34
52.50  24
52.72  12
62.31  14
62.70  29
65.69  13
85.96  12

Atomic structure:
Unit cell a=4.911 b=4.911 c=24.746 alpha=90.00 beta=90.00 gamma=90.00
Sites, in units of the cell vectors:
Ca 0.000 0.000 0.100
Ca 0.000 0.000 0.302
Ca 0.000 0.000 0.698
Ca 0.000 0.000 0.900
Tm 0.000 0.000 0.500
Pb 0.000 0.500 0.000
Pb 0.000 0.500 0.201
Pb 0.000 0.500 0.402
Pb 0.000 0.500 0.598
Pb 0.000 0.500 0.799
Pb 0.500 0.000 0.000
Pb 0.500 0.000 0.201
Pb 0.500 0.000 0.402
Pb 0.500 0.000 0.598
Pb 0.500 0.000 0.799
Pb 0.500 0.500 0.101
Pb 0.500 0.500 0.302
Pb 0.500 0.500 0.500
Pb 0.500 0.500 0.698
Pb 0.500 0.500 0.899